[1]
Diffraction record for Li3W. The X-ray diffraction stick pattern is computed, not measured: it uses a structure optimized by DFT (PBE) and Cu Kα (weighted mean of Kα1 and Kα2).

Atomic structure:
```
Li3W
1.0
1.375 0.794 10.146
-1.375 0.794 10.146
0.000 -1.588 10.146
Li W
3 1
Cartesian
0.000 0.000 0.000
0.000 0.000 7.500
0.000 0.000 22.937
0.000 0.000 15.219
```

Peak list (10 most intense, 10° ≤ 2θ ≤ 90°, by intensity)
d (Å)	2θ/deg	Rel. int.
5.073	17.5	100
2.273	39.6	49
2.375	37.9	44
2.354	38.2	43
3.382	26.4	37
2.218	40.7	36
2.019	44.9	34
2.089	43.3	31
1.876	48.5	22
2.536	35.4	22


[2]
Diffraction record for TmCuS2. The X-ray diffraction stick pattern is computed, not measured: it uses a structure optimized by DFT (PBE) and Cu Kα (weighted mean of Kα1 and Kα2).

Atomic structure:
```
TmCuS2
1.0
6.306 0.000 0.000
0.000 6.934 0.000
-0.812 0.000 6.648
Tm Cu S
4 4 8
Cartesian
0.983 0.325 2.000
0.576 3.142 5.323
4.918 3.792 1.324
4.512 6.609 4.648
2.263 4.587 3.002
1.857 5.815 6.326
3.637 1.119 0.322
3.231 2.348 3.646
0.030 5.042 3.303
-0.376 5.359 6.627
1.984 0.784 4.769
2.390 2.683 1.445
3.104 4.251 5.203
3.511 6.150 1.879
5.870 1.575 0.021
5.464 1.892 3.345
```

Peak list (10 most intense, 10° ≤ 2θ ≤ 90°, by intensity)
d (Å)	2θ/deg	Rel. int.
3.657	24.3	100
2.733	32.8	63
2.399	37.5	37
3.980	22.3	34
2.595	34.6	27
1.854	49.2	26
3.095	28.8	26
2.111	42.8	25
2.823	31.7	25
2.087	43.4	25


[3]
Diffraction record for Nb6SI9. The X-ray diffraction stick pattern is computed, not measured: it uses a structure optimized by DFT (PBE) and Cu Kα (weighted mean of Kα1 and Kα2).

Atomic structure:
```
Nb6SI9
1.0
10.720 0.000 0.000
-4.419 10.310 0.000
-3.066 -4.909 10.549
Nb S I
12 2 18
Cartesian
-0.639 1.114 1.830
-1.504 -0.267 4.802
-3.355 9.289 0.961
-4.386 7.641 4.504
-0.490 -2.132 7.225
-1.357 -3.518 10.198
4.591 8.918 0.351
3.724 7.532 3.324
7.621 -2.241 6.045
6.590 -3.889 9.587
4.739 5.668 5.746
3.873 4.286 8.718
-6.562 6.553 7.921
9.796 -1.153 2.627
-0.158 3.492 0.334
-2.248 0.146 7.524
-1.455 2.567 4.201
-4.144 4.433 9.756
-3.197 5.954 6.503
-1.899 7.535 2.874
1.204 -0.321 5.818
2.184 1.244 2.459
0.859 -1.711 9.748
2.376 7.112 0.800
1.051 4.157 8.089
2.030 5.722 4.731
5.134 -2.135 7.675
6.432 -0.554 4.046
7.378 0.967 0.792
4.690 2.833 6.348
5.482 5.254 3.025
3.393 1.908 10.214
```

Peak list (10 most intense, 10° ≤ 2θ ≤ 90°, by intensity)
d (Å)	2θ/deg	Rel. int.
3.284	27.2	100
3.494	25.5	74
3.371	26.4	71
2.341	38.5	71
3.509	25.4	69
3.384	26.3	66
3.334	26.7	55
2.190	41.2	51
2.173	41.6	49
2.191	41.2	48


[4]
Diffraction record for CeURh4. The X-ray diffraction stick pattern is computed, not measured: it uses a structure optimized by DFT (PBE) and Cu Kα (weighted mean of Kα1 and Kα2).

Atomic structure:
```
CeURh4
1.0
2.166 -6.797 0.000
2.166 6.797 0.000
0.000 0.000 7.396
Ce U Rh
2 2 8
Cartesian
2.166 4.030 5.547
2.166 -4.030 1.849
2.166 0.235 5.547
2.166 -0.235 1.849
0.000 0.000 0.000
0.000 0.000 3.698
2.166 4.568 1.849
2.166 1.914 0.187
2.166 1.914 3.511
2.166 -1.914 3.885
2.166 -1.914 7.209
2.166 -4.568 5.547
```

Peak list (10 most intense, 10° ≤ 2θ ≤ 90°, by intensity)
d (Å)	2θ/deg	Rel. int.
2.389	37.6	100
2.166	41.7	23
1.289	73.4	14
1.849	49.3	13
2.266	39.8	12
2.199	41.1	11
1.406	66.5	10
4.127	21.5	10
2.502	35.9	9
6.797	13.0	8